Theoretical XRD peak list of NaCe3I8 for Cu Kα (λ = 1.5418 Å), from a structure optimized by DFT (GGA-PBE).

Atomic structure:
```
data_NaCe3I8
_chemical_formula_sum 'Na2 Ce6 I16'
_cell_length_a 8.8978
_cell_length_b 8.8978
_cell_length_c 15.5389
_cell_angle_alpha 90.00
_cell_angle_beta 90.00
_cell_angle_gamma 120.00
_symmetry_space_group_name_H-M 'P 63 m c'
_symmetry_Int_Tables_number 186
_symmetry_space_group_name_Hall 'P 6c -2c'
loop_
_atom_site_label
_atom_site_type_symbol
_atom_site_fract_x
_atom_site_fract_y
_atom_site_fract_z
Na1 Na 0.3333 0.6667 0.0000
Ce1 Ce 0.1798 0.3596 0.7445
I1 I 0.0000 0.0000 0.3586
I2 I 0.0012 0.5006 0.3728
I3 I 0.1664 0.3327 0.1285
I4 I 0.3333 0.6667 0.6052
```

The 8 most intense peaks (2θ = 15–90°), in order of rising 2θ:
h k l  two_theta  I/Imax
2 0 2  25.81  100.0
2 0 3  28.88  64.1
2 0 4  32.74  19.7
2 0 5  37.17  33.8
2 2 0  40.55  49.1
2 0 6  42.04  24.0
4 0 2  48.70  17.1
2 2 8  63.59  22.4